For TlV, a cell relaxed with GGA-PBE gives the simulated powder X-ray diffraction pattern in this record (Cu Kα).
Intensities are scaled so that the largest is 1000.

Top 10 peaks for 5 to 70 degrees two-theta, sorted by position:
- 2θ = 25.37°, intensity 208
- 2θ = 25.67°, intensity 193
- 2θ = 29.26°, intensity 514
- 2θ = 29.61°, intensity 901
- 2θ = 33.11°, intensity 1000
- 2θ = 39.33°, intensity 450
- 2θ = 39.58°, intensity 732
- 2θ = 49.79°, intensity 207
- 2θ = 49.96°, intensity 366
- 2θ = 69.66°, intensity 367

Structural model:
```
TlV
1.0
3.0196 0.0000 0.0000
0.0000 6.1051 3.4700
0.0000 -6.1051 3.4700
Tl V
3 3
Cartesian
0.0000 0.0000 0.0000 Tl
1.5098 -2.9433 2.3041 Tl
1.5098 2.9433 2.3041 Tl
0.0000 -1.1594 4.2032 V
0.0000 1.1594 4.2032 V
1.5098 0.0000 2.6252 V
```

***

For Y2TlV, a cell relaxed with GGA-PBE gives the simulated powder X-ray diffraction pattern in this record (Cu Kα).
Intensities are scaled so that the largest is 1000.

Top 10 peaks for 5 to 70 degrees two-theta, sorted by position:
- 2θ = 20.77°, intensity 266
- 2θ = 24.02°, intensity 29
- 2θ = 34.23°, intensity 1000
- 2θ = 40.38°, intensity 155
- 2θ = 42.26°, intensity 10
- 2θ = 49.19°, intensity 177
- 2θ = 53.94°, intensity 70
- 2θ = 55.46°, intensity 14
- 2θ = 61.30°, intensity 362
- 2θ = 65.46°, intensity 54

Structural model:
```
Y2TlV
1.0
0.0000 3.7044 3.7044
3.7044 0.0000 3.7044
3.7044 3.7044 0.0000
Y Tl V
2 1 1
Cartesian
1.8522 1.8522 1.8522 Y
5.5566 5.5566 5.5566 Y
0.0000 0.0000 0.0000 Tl
3.7044 3.7044 3.7044 V
```

***

For Tl4W, a cell relaxed with GGA-PBE gives the simulated powder X-ray diffraction pattern in this record (Cu Kα).
Intensities are scaled so that the largest is 1000.

Top 10 peaks for 5 to 70 degrees two-theta, sorted by position:
- 2θ = 19.12°, intensity 202
- 2θ = 27.17°, intensity 502
- 2θ = 33.43°, intensity 102
- 2θ = 38.80°, intensity 1000
- 2θ = 43.60°, intensity 49
- 2θ = 48.01°, intensity 146
- 2θ = 52.13°, intensity 59
- 2θ = 56.03°, intensity 175
- 2θ = 59.76°, intensity 29
- 2θ = 63.36°, intensity 194

Structural model:
```
Tl4W
1.0
-3.2825 3.2825 3.2825
3.2825 -3.2825 3.2825
3.2825 3.2825 -3.2825
Tl W
4 1
Cartesian
1.6412 1.6412 -1.6412 Tl
1.6412 -1.6412 1.6412 Tl
-1.6412 1.6412 1.6412 Tl
1.6412 1.6412 1.6412 Tl
0.0000 0.0000 0.0000 W
```

***

For TlW2, a cell relaxed with GGA-PBE gives the simulated powder X-ray diffraction pattern in this record (Cu Kα).
Intensities are scaled so that the largest is 1000.

Top 10 peaks for 5 to 70 degrees two-theta, sorted by position:
- 2θ = 8.90°, intensity 780
- 2θ = 22.08°, intensity 234
- 2θ = 27.06°, intensity 301
- 2θ = 32.07°, intensity 161
- 2θ = 36.18°, intensity 533
- 2θ = 38.18°, intensity 1000
- 2θ = 40.98°, intensity 403
- 2θ = 42.45°, intensity 806
- 2θ = 55.80°, intensity 312
- 2θ = 63.34°, intensity 187

Structural model:
```
TlW2
1.0
1.5387 -9.9306 0.0000
1.5387 9.9306 0.0000
0.0000 0.0000 4.4046
Tl W
2 4
Cartesian
1.5387 6.1626 3.3035 Tl
1.5387 -6.1626 1.1012 Tl
1.5387 8.8037 1.1012 W
1.5387 1.1266 1.1012 W
1.5387 -1.1266 3.3035 W
1.5387 -8.8037 3.3035 W
```

***

For Tl5W, a cell relaxed with GGA-PBE gives the simulated powder X-ray diffraction pattern in this record (Cu Kα).
Intensities are scaled so that the largest is 1000.

Top 10 peaks for 5 to 70 degrees two-theta, sorted by position:
- 2θ = 8.46°, intensity 220
- 2θ = 24.66°, intensity 205
- 2θ = 31.27°, intensity 929
- 2θ = 35.96°, intensity 416
- 2θ = 36.13°, intensity 1000
- 2θ = 40.17°, intensity 211
- 2θ = 48.34°, intensity 199
- 2θ = 64.74°, intensity 217
- 2θ = 68.08°, intensity 180
- 2θ = 68.89°, intensity 129

Structural model:
```
Tl5W
1.0
4.9944 0.0000 0.0000
0.0000 1.5723 10.4526
0.0000 -1.5723 10.4526
Tl W
5 1
Cartesian
0.0000 0.0000 0.0000 Tl
0.0000 0.0000 5.9689 Tl
2.4972 0.0000 2.1432 Tl
2.4972 0.0000 8.3374 Tl
2.4972 0.0000 15.3148 Tl
0.0000 0.0000 13.2794 W
```

***

For Tl5W3, a cell relaxed with GGA-PBE gives the simulated powder X-ray diffraction pattern in this record (Cu Kα).
Intensities are scaled so that the largest is 1000.

Top 10 peaks for 5 to 70 degrees two-theta, sorted by position:
- 2θ = 32.27°, intensity 364
- 2θ = 32.40°, intensity 134
- 2θ = 34.69°, intensity 123
- 2θ = 36.23°, intensity 1000
- 2θ = 36.74°, intensity 234
- 2θ = 38.91°, intensity 534
- 2θ = 57.55°, intensity 111
- 2θ = 60.31°, intensity 233
- 2θ = 60.58°, intensity 131
- 2θ = 68.58°, intensity 121

Structural model:
```
Tl5W3
1.0
8.4747 0.0000 0.0000
-4.2373 7.3393 0.0000
0.0000 0.0000 5.5269
Tl W
10 6
Cartesian
-0.9804 1.6981 1.3817 Tl
-3.2569 5.6412 4.1452 Tl
1.9608 0.0000 1.3817 Tl
0.9804 1.6981 4.1452 Tl
0.0000 4.8929 0.0000 Tl
0.0000 4.8929 2.7634 Tl
4.2373 2.4464 0.0000 Tl
4.2373 2.4464 2.7634 Tl
6.5139 0.0000 4.1452 Tl
3.2569 5.6412 1.3817 Tl
-1.7484 3.0284 4.1452 W
-2.4889 4.3109 1.3817 W
3.4969 0.0000 4.1452 W
1.7484 3.0284 1.3817 W
4.9778 0.0000 1.3817 W
2.4889 4.3109 4.1452 W
```

***

Copy entry 6 word for word.
For Tl5W3, a cell relaxed with GGA-PBE gives the simulated powder X-ray diffraction pattern in this record (Cu Kα).
Intensities are scaled so that the largest is 1000.

Top 10 peaks for 5 to 70 degrees two-theta, sorted by position:
- 2θ = 32.27°, intensity 364
- 2θ = 32.40°, intensity 134
- 2θ = 34.69°, intensity 123
- 2θ = 36.23°, intensity 1000
- 2θ = 36.74°, intensity 234
- 2θ = 38.91°, intensity 534
- 2θ = 57.55°, intensity 111
- 2θ = 60.31°, intensity 233
- 2θ = 60.58°, intensity 131
- 2θ = 68.58°, intensity 121

Structural model:
```
Tl5W3
1.0
8.4747 0.0000 0.0000
-4.2373 7.3393 0.0000
0.0000 0.0000 5.5269
Tl W
10 6
Cartesian
-0.9804 1.6981 1.3817 Tl
-3.2569 5.6412 4.1452 Tl
1.9608 0.0000 1.3817 Tl
0.9804 1.6981 4.1452 Tl
0.0000 4.8929 0.0000 Tl
0.0000 4.8929 2.7634 Tl
4.2373 2.4464 0.0000 Tl
4.2373 2.4464 2.7634 Tl
6.5139 0.0000 4.1452 Tl
3.2569 5.6412 1.3817 Tl
-1.7484 3.0284 4.1452 W
-2.4889 4.3109 1.3817 W
3.4969 0.0000 4.1452 W
1.7484 3.0284 1.3817 W
4.9778 0.0000 1.3817 W
2.4889 4.3109 4.1452 W
```